No. 1
For Dy2Er2Lu3Ni2Te2, a PBE-relaxed structure gives the theoretical PXRD pattern in this record (copper Kα).

Cell and atoms:
a = 9.248 Å, b = 9.248 Å, c = 9.248 Å
α = 156.22°, β = 67.25°, γ = 118.13°
Sites, in units of the cell vectors:
1 Dy 0.134 0.000 0.134
2 Dy 0.866 0.000 0.866
3 Er 0.208 0.854 0.354
4 Er 0.500 0.854 0.646
5 Lu 0.518 0.203 0.315
6 Lu 0.581 0.581 0.000
7 Lu 0.888 0.203 0.685
8 Ni 0.278 0.513 0.765
9 Ni 0.748 0.513 0.235
10 Te 0.246 0.246 0.000
11 Te 0.844 0.344 0.500

Largest 10 diffraction maxima, sorted by position, 2θ = 10–90°:
d/Å	I/Imax
3.059	24.6
2.930	24.3
2.919	53.7
2.697	83.1
2.605	100.0
2.571	77.1
2.436	25.5
1.905	30.5
1.768	28.4
1.556	38.4

***

No. 2
For Dy2Er2TmLu2Ni2Te2, a PBE-relaxed structure gives the theoretical PXRD pattern in this record (copper Kα).

Cell and atoms:
a = 9.231 Å, b = 9.231 Å, c = 9.231 Å
α = 156.15°, β = 67.11°, γ = 118.32°
Sites, in units of the cell vectors:
1 Dy 0.134 0.000 0.134
2 Dy 0.866 0.000 0.866
3 Er 0.500 0.147 0.354
4 Er 0.793 0.147 0.646
5 Tm 0.418 0.418 0.000
6 Lu 0.111 0.796 0.315
7 Lu 0.481 0.796 0.685
8 Ni 0.251 0.487 0.765
9 Ni 0.722 0.487 0.235
10 Te 0.154 0.654 0.500
11 Te 0.755 0.755 0.000

Largest 10 diffraction maxima, sorted by position, 2θ = 10–90°:
d/Å	I/Imax
3.061	24.5
2.926	23.5
2.917	53.4
2.687	83.3
2.604	100.0
2.568	78.9
2.431	25.2
2.318	18.6
1.908	30.8
1.556	32.0

***

No. 3
For Dy2ErTm2Lu2Ni2Te2, a PBE-relaxed structure gives the theoretical PXRD pattern in this record (copper Kα).

Cell and atoms:
a = 9.239 Å, b = 9.239 Å, c = 9.239 Å
α = 156.09°, β = 67.07°, γ = 118.38°
Sites, in units of the cell vectors:
1 Dy 0.147 0.000 0.147
2 Dy 0.853 0.000 0.853
3 Er 0.770 0.270 0.500
4 Tm 0.218 0.853 0.365
5 Tm 0.487 0.853 0.635
6 Lu 0.462 0.647 0.815
7 Lu 0.832 0.647 0.185
8 Ni 0.076 0.339 0.737
9 Ni 0.602 0.339 0.263
10 Te 0.110 0.610 0.500
11 Te 0.504 0.504 0.000

Largest 10 diffraction maxima, sorted by position, 2θ = 10–90°:
d/Å	I/Imax
3.068	22.3
2.924	75.8
2.688	83.2
2.609	100.0
2.574	56.3
2.567	25.2
2.434	23.8
1.913	30.2
1.768	27.0
1.559	32.2

***

No. 4
For Dy2ErTm2Lu2Ni2Te2, a PBE-relaxed structure gives the theoretical PXRD pattern in this record (copper Kα).

Cell and atoms:
a = 9.246 Å, b = 9.246 Å, c = 9.246 Å
α = 156.17°, β = 67.24°, γ = 118.17°
Sites, in units of the cell vectors:
1 Dy 0.134 0.000 0.134
2 Dy 0.866 0.000 0.866
3 Er 0.419 0.419 0.000
4 Tm 0.500 0.147 0.353
5 Tm 0.794 0.147 0.647
6 Lu 0.112 0.797 0.315
7 Lu 0.482 0.797 0.685
8 Ni 0.253 0.488 0.765
9 Ni 0.722 0.488 0.235
10 Te 0.156 0.656 0.500
11 Te 0.754 0.754 0.000

Largest 10 diffraction maxima, sorted by position, 2θ = 10–90°:
d/Å	I/Imax
3.063	24.6
2.924	76.8
2.695	83.5
2.607	100.0
2.574	52.6
2.566	25.7
2.437	25.1
2.324	19.6
1.909	30.7
1.557	38.8

***

No. 5
For Dy2ErTm2Lu2Ni2Te2, a PBE-relaxed structure gives the theoretical PXRD pattern in this record (copper Kα).

Cell and atoms:
a = 9.251 Å, b = 9.251 Å, c = 9.251 Å
α = 156.22°, β = 67.15°, γ = 118.25°
Sites, in units of the cell vectors:
1 Dy 0.134 0.000 0.134
2 Dy 0.866 0.000 0.866
3 Er 0.420 0.420 0.000
4 Tm 0.112 0.797 0.315
5 Tm 0.482 0.797 0.685
6 Lu 0.500 0.147 0.354
7 Lu 0.793 0.147 0.646
8 Ni 0.256 0.490 0.766
9 Ni 0.724 0.490 0.234
10 Te 0.156 0.656 0.500
11 Te 0.754 0.754 0.000

Largest 10 diffraction maxima, sorted by position, 2θ = 10–90°:
d/Å	I/Imax
3.061	23.8
2.932	23.0
2.918	52.6
2.695	81.4
2.606	100.0
2.572	74.1
2.435	24.2
1.906	29.7
1.769	28.3
1.556	37.8

***

No. 6
For Dy2Er2TmLu2Ni2Te2, a PBE-relaxed structure gives the theoretical PXRD pattern in this record (copper Kα).

Cell and atoms:
a = 9.277 Å, b = 9.277 Å, c = 9.277 Å
α = 156.11°, β = 67.12°, γ = 118.32°
Sites, in units of the cell vectors:
1 Dy 0.185 0.000 0.185
2 Dy 0.815 0.000 0.815
3 Er 0.207 0.353 0.854
4 Er 0.499 0.353 0.146
5 Tm 0.124 0.624 0.500
6 Lu 0.571 0.206 0.366
7 Lu 0.840 0.206 0.634
8 Ni 0.429 0.693 0.737
9 Ni 0.956 0.693 0.263
10 Te 0.463 0.963 0.500
11 Te 0.856 0.856 0.000

Largest 10 diffraction maxima, sorted by position, 2θ = 10–90°:
d/Å	I/Imax
3.079	19.3
2.935	73.3
2.700	78.6
2.619	100.0
2.585	51.2
2.577	23.2
2.445	21.4
1.920	28.6
1.775	26.2
1.565	30.4